For NdScTeS, a DFT-relaxed cell (PBE, Alexandria) gives the calculated XRD peak list in this record (Cu Kα (λ = 1.5418 Å)).
Peak positions follow from Bragg's law for the DFT cell and can differ from measured ones.

Principal peaks in the range 10 to 90 degrees two-theta, low angle first:
- 12.8 deg, d 6.919, intensity 13
- 25.8 deg, d 3.455, intensity 36
- 30.8 deg, d 2.904, intensity 100
- 33.5 deg, d 2.677, intensity 36
- 39.1 deg, d 2.306, intensity 12
- 43.4 deg, d 2.085, intensity 27
- 44.8 deg, d 2.023, intensity 38
- 55.4 deg, d 1.660, intensity 20
- 60.9 deg, d 1.521, intensity 19
- 64.1 deg, d 1.452, intensity 18
- 73.9 deg, d 1.283, intensity 16
- 81.6 deg, d 1.180, intensity 13

Structural model:
```
NdScTeS
1.0
2.0227 1.1678 6.9187
-2.0227 1.1678 6.9187
0.0000 -2.3356 6.9187
Nd Sc Te S
1 1 1 1
Direct
0.0000 0.0000 0.0000
0.5317 0.5317 0.5317
0.7735 0.7735 0.7735
0.2552 0.2552 0.2552
```

***

For SrCe2PaN4, a DFT-relaxed cell (PBE, Alexandria) gives the calculated XRD peak list in this record (Cu Kα (λ = 1.5418 Å)).
Peak positions follow from Bragg's law for the DFT cell and can differ from measured ones.

Principal peaks in the range 10 to 90 degrees two-theta, low angle first:
- 17.4 deg, d 5.095, intensity 6
- 19.5 deg, d 4.558, intensity 11
- 24.7 deg, d 3.603, intensity 5
- 30.4 deg, d 2.942, intensity 100
- 35.2 deg, d 2.548, intensity 73
- 40.6 deg, d 2.224, intensity 4
- 50.7 deg, d 1.801, intensity 50
- 60.2 deg, d 1.536, intensity 47
- 63.2 deg, d 1.471, intensity 17
- 74.5 deg, d 1.274, intensity 8
- 82.5 deg, d 1.169, intensity 20
- 85.2 deg, d 1.139, intensity 22

Structural model:
```
SrCe2PaN4
1.0
-2.5479 2.5479 5.0945
2.5479 -2.5479 5.0945
2.5479 2.5479 -5.0945
Sr Ce Pa N
1 2 1 4
Direct
0.0000 0.0000 0.0000
0.5000 0.5000 0.0000
0.7500 0.2500 0.5000
0.2500 0.7500 0.5000
0.0294 0.5294 0.5000
0.2628 0.2628 0.0000
0.4706 0.9706 0.5000
0.7372 0.7372 0.0000
```

***

For RbZr6CI14, a DFT-relaxed cell (PBE, Alexandria) gives the calculated XRD peak list in this record (Cu Kα (λ = 1.5418 Å)).
Peak positions follow from Bragg's law for the DFT cell and can differ from measured ones.

Principal peaks in the range 10 to 90 degrees two-theta, low angle first:
- 10.4 deg, d 8.499, intensity 78
- 25.9 deg, d 3.445, intensity 50
- 26.5 deg, d 3.358, intensity 99
- 27.4 deg, d 3.257, intensity 40
- 28.5 deg, d 3.132, intensity 94
- 32.5 deg, d 2.759, intensity 100
- 41.2 deg, d 2.189, intensity 45
- 45.2 deg, d 2.007, intensity 27
- 47.9 deg, d 1.899, intensity 24
- 49.1 deg, d 1.855, intensity 26
- 50.2 deg, d 1.817, intensity 29
- 53.2 deg, d 1.723, intensity 28

Structural model:
```
RbZr6CI14
1.0
8.0268 -7.8369 0.0000
8.0268 7.8369 0.0000
0.0000 0.0000 13.0279
Rb Zr C I
2 12 2 28
Direct
0.0000 0.0000 0.0000
0.5000 0.5000 0.5000
0.0473 0.1608 0.6081
0.1215 0.8785 0.5922
0.1608 0.0473 0.3919
0.3392 0.4527 0.8919
0.3785 0.6215 0.0922
0.4527 0.3392 0.1081
0.5473 0.6608 0.8919
0.6215 0.3785 0.9078
0.6608 0.5473 0.1081
0.8392 0.9527 0.6081
0.8785 0.1215 0.4078
0.9527 0.8392 0.3919
0.0000 0.0000 0.5000
0.5000 0.5000 0.0000
0.0353 0.2110 0.2512
0.0992 0.6520 0.4900
0.1125 0.3875 0.7500
0.1418 0.8582 0.2372
0.1520 0.5992 0.9900
0.2110 0.0353 0.7488
0.2491 0.2491 0.0000
0.2509 0.2509 0.5000
0.2890 0.4647 0.2488
0.3480 0.9008 0.4900
0.3582 0.6418 0.7372
0.3875 0.1125 0.2500
0.4008 0.8480 0.9900
0.4647 0.2890 0.7512
0.5353 0.7110 0.2488
0.5992 0.1520 0.0100
0.6125 0.8875 0.7500
0.6418 0.3582 0.2628
0.6520 0.0992 0.5100
0.7110 0.5353 0.7512
0.7491 0.7491 0.5000
0.7509 0.7509 0.0000
0.7890 0.9647 0.2512
0.8480 0.4008 0.0100
0.8582 0.1418 0.7628
0.8875 0.6125 0.2500
0.9008 0.3480 0.5100
0.9647 0.7890 0.7488
```

***

For Pr5Sb2Se2, a DFT-relaxed cell (PBE, Alexandria) gives the calculated XRD peak list in this record (Cu Kα (λ = 1.5418 Å)).
Peak positions follow from Bragg's law for the DFT cell and can differ from measured ones.

Principal peaks in the range 10 to 90 degrees two-theta, low angle first:
- 26.9 deg, d 3.319, intensity 28
- 29.7 deg, d 3.008, intensity 100
- 30.7 deg, d 2.914, intensity 22
- 31.8 deg, d 2.816, intensity 16
- 32.7 deg, d 2.738, intensity 13
- 33.6 deg, d 2.666, intensity 67
- 34.7 deg, d 2.583, intensity 81
- 35.1 deg, d 2.558, intensity 53
- 45.6 deg, d 1.990, intensity 17
- 54.5 deg, d 1.685, intensity 14
- 63.7 deg, d 1.461, intensity 30
- 65.3 deg, d 1.428, intensity 27

Structural model:
```
Pr5Sb2Se2
1.0
7.7541 -4.0965 0.0000
7.7541 4.0965 0.0000
0.0000 0.0000 8.2902
Pr Sb Se
10 4 4
Direct
0.0000 0.0000 0.0000
0.0207 0.6955 0.6543
0.1955 0.5207 0.1543
0.3045 0.9793 0.6543
0.4793 0.8045 0.1543
0.5000 0.5000 0.5000
0.5207 0.1955 0.8457
0.6955 0.0207 0.3457
0.8045 0.4793 0.8457
0.9793 0.3045 0.3457
0.1406 0.8594 0.3585
0.3594 0.6406 0.8585
0.6406 0.3594 0.1415
0.8594 0.1406 0.6415
0.1948 0.1948 0.0000
0.3052 0.3052 0.5000
0.6948 0.6948 0.5000
0.8052 0.8052 0.0000
```

***

For NpMnTl2S4, a DFT-relaxed cell (PBE, Alexandria) gives the calculated XRD peak list in this record (Cu Kα (λ = 1.5418 Å)).
Peak positions follow from Bragg's law for the DFT cell and can differ from measured ones.

Principal peaks in the range 10 to 90 degrees two-theta, low angle first:
- 26.4 deg, d 3.371, intensity 48
- 26.8 deg, d 3.332, intensity 46
- 30.8 deg, d 2.902, intensity 100
- 43.7 deg, d 2.071, intensity 12
- 44.1 deg, d 2.052, intensity 48
- 44.5 deg, d 2.035, intensity 12
- 52.0 deg, d 1.759, intensity 19
- 52.5 deg, d 1.744, intensity 13
- 54.4 deg, d 1.686, intensity 12
- 64.2 deg, d 1.451, intensity 11
- 72.8 deg, d 1.299, intensity 10
- 72.9 deg, d 1.297, intensity 10

Structural model:
```
NpMnTl2S4
1.0
7.0790 -4.1424 0.0000
7.0790 4.1424 0.0000
-4.6647 0.0000 6.6716
Np Mn Tl S
2 2 4 8
Direct
0.0000 0.5000 0.0000
0.5000 0.0000 0.0000
0.0000 0.0000 0.0000
0.0000 0.0000 0.5000
0.0000 0.5000 0.5000
0.5000 0.0000 0.5000
0.5000 0.5000 0.0000
0.5000 0.5000 0.5000
0.1846 0.7800 0.2284
0.2200 0.8154 0.7716
0.2310 0.2310 0.7657
0.2324 0.2324 0.1975
0.7676 0.7676 0.8025
0.7690 0.7690 0.2343
0.7800 0.1846 0.2284
0.8154 0.2200 0.7716
```

***

For Y5Ho5Th, a DFT-relaxed cell (PBE, Alexandria) gives the calculated XRD peak list in this record (Cu Kα (λ = 1.5418 Å)).
Peak positions follow from Bragg's law for the DFT cell and can differ from measured ones.

Principal peaks in the range 10 to 90 degrees two-theta, low angle first:
- 28.6 deg, d 3.122, intensity 100
- 29.6 deg, d 3.016, intensity 88
- 30.6 deg, d 2.920, intensity 39
- 35.2 deg, d 2.549, intensity 35
- 37.7 deg, d 2.384, intensity 29
- 41.6 deg, d 2.169, intensity 16
- 46.7 deg, d 1.947, intensity 24
- 51.9 deg, d 1.761, intensity 39
- 52.5 deg, d 1.741, intensity 22
- 56.2 deg, d 1.636, intensity 23
- 61.5 deg, d 1.508, intensity 20
- 69.2 deg, d 1.358, intensity 16

Structural model:
```
Y5Ho5Th
1.0
6.0329 0.0000 0.0000
-3.0164 5.2246 0.0000
0.0000 0.0000 11.6789
Y Ho Th
5 5 1
Direct
0.0000 0.0000 0.2397
0.0000 0.0000 0.7603
0.3343 0.1672 0.0000
0.8328 0.1672 0.0000
0.8328 0.6657 0.0000
0.0000 0.0000 0.5000
0.3333 0.6667 0.1793
0.3333 0.6667 0.8207
0.6667 0.3333 0.3503
0.6667 0.3333 0.6497
0.3333 0.6667 0.5000
```

***

For Ca5Bi6Pb, a DFT-relaxed cell (PBE, Alexandria) gives the calculated XRD peak list in this record (Cu Kα (λ = 1.5418 Å)).
Peak positions follow from Bragg's law for the DFT cell and can differ from measured ones.

Principal peaks in the range 10 to 90 degrees two-theta, low angle first:
- 20.9 deg, d 4.259, intensity 33
- 21.2 deg, d 4.182, intensity 27
- 25.2 deg, d 3.534, intensity 18
- 29.9 deg, d 2.984, intensity 100
- 32.9 deg, d 2.723, intensity 39
- 33.0 deg, d 2.715, intensity 39
- 33.1 deg, d 2.703, intensity 38
- 33.2 deg, d 2.695, intensity 38
- 39.6 deg, d 2.278, intensity 18
- 42.5 deg, d 2.129, intensity 20
- 43.3 deg, d 2.091, intensity 19
- 54.9 deg, d 1.671, intensity 18

Structural model:
```
Ca5Bi6Pb
1.0
5.5252 0.0000 0.0000
-0.0117 8.3639 0.0000
-1.2241 -4.1575 8.1698
Ca Bi Pb
5 6 1
Direct
0.0000 0.0000 0.0000
0.3368 0.8301 0.6596
0.3407 0.3479 0.6956
0.6593 0.6521 0.3044
0.6632 0.1699 0.3404
0.1615 0.9261 0.3428
0.1622 0.4166 0.3432
0.4994 0.7646 0.0000
0.5006 0.2354 0.0000
0.8378 0.5834 0.6568
0.8385 0.0739 0.6572
0.0000 0.5000 0.0000
```

***

For Cd3InPb2, a DFT-relaxed cell (PBE, Alexandria) gives the calculated XRD peak list in this record (Cu Kα (λ = 1.5418 Å)).
Peak positions follow from Bragg's law for the DFT cell and can differ from measured ones.

Principal peaks in the range 10 to 90 degrees two-theta, low angle first:
- 28.6 deg, d 3.124, intensity 54
- 28.7 deg, d 3.109, intensity 27
- 29.9 deg, d 2.987, intensity 75
- 33.4 deg, d 2.685, intensity 35
- 33.5 deg, d 2.672, intensity 68
- 34.6 deg, d 2.595, intensity 100
- 34.7 deg, d 2.586, intensity 50
- 35.2 deg, d 2.553, intensity 80
- 36.5 deg, d 2.459, intensity 41
- 55.5 deg, d 1.656, intensity 32
- 59.1 deg, d 1.562, intensity 31
- 62.1 deg, d 1.494, intensity 42

Structural model:
```
Cd3InPb2
1.0
5.1755 -2.9870 0.0000
5.1755 2.9870 0.0000
-3.4151 0.0000 5.2121
Cd In Pb
3 1 2
Direct
0.0000 0.0000 0.0000
0.0000 0.5000 0.0000
0.5000 0.0000 0.0000
0.0000 0.0000 0.5000
0.3794 0.3794 0.6379
0.6206 0.6206 0.3621
```